Diffraction record for CoF3. The XRD peak list is calculated, not measured: it uses a crystal structure in Alexandria, relaxed with GGA+U and Cu Ka.
Kinematic intensities with the Lorentz-polarization factor, no thermal factor.

Top 10 peaks for 10° ≤ 2θ ≤ 90°, by angle:
2theta	Rel. int.
23.11	608
23.59	1000
33.29	286
47.24	166
48.26	224
53.46	182
54.04	129
54.16	123
54.75	126
69.84	122

Unit cell a=6.610 b=6.610 c=5.294 alpha=90.00 beta=90.00 gamma=108.79
Sites, in units of the cell vectors:
Co  0.122  0.878  0.500
Co  0.372  0.628  0.000
Co  0.628  0.372  0.500
Co  0.878  0.122  0.000
F  0.035  0.965  0.177
F  0.115  0.368  0.997
F  0.220  0.780  0.809
F  0.286  0.714  0.301
F  0.368  0.115  0.497
F  0.471  0.529  0.713
F  0.529  0.471  0.213
F  0.632  0.885  0.997
F  0.714  0.286  0.801
F  0.780  0.220  0.309
F  0.885  0.632  0.497
F  0.965  0.035  0.677